Diffraction record for LiCo2P5O16. The XRD peak list is computed, not measured: it uses a crystal structure in the Materials Project, relaxed with PBE+U and copper Kα.
Kinematic intensities with the Lorentz-polarization factor, no thermal factor.

The 10 most intense peaks (2θ = 5–70°), in order of rising 2θ:
2θ/deg  Rel. int.
9.60  518
14.27  1000
16.53  240
19.26  593
23.09  801
23.26  291
29.07  282
33.08  226
34.12  207
36.79  251

Atomic structure:
abc: 4.8853 6.5919 18.4341
angles: 90.00 91.23 90.00
Positions (direct):
Li: 0.0000 0.1225 0.0000
Li: 0.0000 0.8775 0.5000
Co: 0.0189 0.3184 0.5662
Co: 0.0189 0.6816 0.0662
Co: 0.5134 0.3195 0.8819
Co: 0.5134 0.6805 0.3819
P: 0.0306 0.3765 0.3992
P: 0.0306 0.6235 0.8992
P: 0.2714 0.2552 0.7243
P: 0.2714 0.7448 0.2243
P: 0.5052 0.3782 0.0512
P: 0.5052 0.6218 0.5512
P: 0.5355 0.0402 0.6050
P: 0.5355 0.9598 0.1050
P: 0.9976 0.0397 0.8430
P: 0.9976 0.9603 0.3430
O: 0.0437 0.1962 0.3382
O: 0.0437 0.8038 0.8382
O: 0.0708 0.0950 0.7612
O: 0.0708 0.9050 0.2612
O: 0.1140 0.3707 0.6670
O: 0.1140 0.6293 0.1670
O: 0.1899 0.1421 0.8983
O: 0.1899 0.8579 0.3983
O: 0.1990 0.4284 0.0431
O: 0.1990 0.5716 0.5431
O: 0.3247 0.1303 0.5528
O: 0.3247 0.8697 0.0528
O: 0.3293 0.4423 0.4082
O: 0.3293 0.5577 0.9082
O: 0.4166 0.3789 0.7815
O: 0.4166 0.6211 0.2815
O: 0.4921 0.1079 0.6868
O: 0.4921 0.8921 0.1868
O: 0.4993 0.1976 0.1129
O: 0.4993 0.8024 0.6129
O: 0.6246 0.2725 0.9841
O: 0.6246 0.7275 0.4841
O: 0.6821 0.4571 0.5851
O: 0.6821 0.5429 0.0851
O: 0.6959 0.0730 0.8559
O: 0.6959 0.9270 0.3559
O: 0.8363 0.0654 0.5861
O: 0.8363 0.9346 0.0861
O: 0.8432 0.4661 0.8642
O: 0.8432 0.5339 0.3642
O: 0.9235 0.2681 0.4670
O: 0.9235 0.7319 0.9670

***

Diffraction record for LiCo2P2O8. The XRD peak list is computed, not measured: it uses a crystal structure in the Materials Project, relaxed with PBE+U and copper Kα.
Kinematic intensities with the Lorentz-polarization factor, no thermal factor.

The 10 most intense peaks (2θ = 5–70°), in order of rising 2θ:
2θ/deg  Rel. int.
21.54  1000
21.83  352
27.28  85
35.06  158
35.50  163
35.68  134
36.02  128
41.70  83
42.04  68
56.30  59

Atomic structure:
abc: 8.5676 5.1189 10.1165
angles: 90.00 125.46 90.00
Positions (direct):
Li: 0.0000 0.0637 0.0000
Li: 0.0000 0.9363 0.5000
Co: 0.4983 0.0521 0.2490
Co: 0.4983 0.9479 0.7490
Co: 0.9992 0.4558 0.7473
Co: 0.9992 0.5442 0.2473
P: 0.2480 0.4502 0.6215
P: 0.2480 0.5498 0.1215
P: 0.7503 0.0397 0.1226
P: 0.7503 0.9603 0.6226
O: 0.0666 0.4329 0.1061
O: 0.0666 0.5671 0.6061
O: 0.2149 0.4862 0.9551
O: 0.2149 0.5138 0.4551
O: 0.2498 0.1514 0.6477
O: 0.2498 0.8486 0.1477
O: 0.4320 0.4157 0.2561
O: 0.4320 0.5843 0.7561
O: 0.5643 0.0396 0.5983
O: 0.5643 0.9604 0.0983
O: 0.7481 0.0098 0.4703
O: 0.7481 0.9902 0.9703
O: 0.7887 0.3361 0.1699
O: 0.7887 0.6639 0.6699
O: 0.9289 0.1125 0.7691
O: 0.9289 0.8875 0.2691

***

Diffraction record for Li2CoP2O7. The XRD peak list is computed, not measured: it uses a crystal structure in the Materials Project, relaxed with PBE+U and copper Kα.
Kinematic intensities with the Lorentz-polarization factor, no thermal factor.

The 10 most intense peaks (2θ = 5–70°), in order of rising 2θ:
2θ/deg  Rel. int.
11.08  399
20.72  531
23.65  1000
26.53  307
26.89  135
27.10  138
28.48  532
28.67  248
34.18  172
35.39  340

Atomic structure:
abc: 5.0748 8.8230 13.2939
angles: 71.03 88.61 73.57
Positions (direct):
Li: 0.0710 0.4893 0.3389
Li: 0.1196 0.2563 0.9434
Li: 0.3804 0.7434 0.5566
Li: 0.4288 0.5111 0.1613
Li: 0.5712 0.4889 0.8387
Li: 0.6196 0.2566 0.4434
Li: 0.8804 0.7437 0.0566
Li: 0.9290 0.5107 0.6611
Co: 0.1029 0.1627 0.5874
Co: 0.3974 0.8354 0.9132
Co: 0.6026 0.1646 0.0868
Co: 0.8971 0.8373 0.4126
P: 0.0190 0.3551 0.1497
P: 0.2162 0.8933 0.1290
P: 0.2833 0.1076 0.3709
P: 0.4810 0.6454 0.3504
P: 0.5190 0.3546 0.6496
P: 0.7167 0.8924 0.6291
P: 0.7838 0.1067 0.8710
P: 0.9810 0.6449 0.8503
O: 0.0086 0.5068 0.1837
O: 0.0979 0.0622 0.8661
O: 0.1546 0.1863 0.2502
O: 0.1797 0.9581 0.4243
O: 0.1856 0.2457 0.4242
O: 0.2137 0.3466 0.0606
O: 0.2338 0.3394 0.6272
O: 0.2663 0.6600 0.8729
O: 0.2863 0.6536 0.4396
O: 0.3136 0.7552 0.0755
O: 0.3203 0.0425 0.0755
O: 0.3454 0.8143 0.2497
O: 0.4026 0.9375 0.6337
O: 0.4911 0.4936 0.3163
O: 0.5089 0.5064 0.6837
O: 0.5974 0.0625 0.3663
O: 0.6546 0.1857 0.7503
O: 0.6797 0.9575 0.9245
O: 0.6864 0.2448 0.9245
O: 0.7137 0.3464 0.5604
O: 0.7337 0.3400 0.1271
O: 0.7662 0.6606 0.3728
O: 0.7863 0.6534 0.9394
O: 0.8144 0.7543 0.5758
O: 0.8203 0.0419 0.5757
O: 0.8454 0.8137 0.7498
O: 0.9021 0.9378 0.1339
O: 0.9914 0.4932 0.8163

***

Diffraction record for LiCo2P3O10. The XRD peak list is computed, not measured: it uses a crystal structure in the Materials Project, relaxed with PBE+U and copper Kα.
Kinematic intensities with the Lorentz-polarization factor, no thermal factor.

The 10 most intense peaks (2θ = 5–70°), in order of rising 2θ:
2θ/deg  Rel. int.
14.24  792
15.40  316
20.03  446
21.99  410
22.60  571
25.45  436
28.70  1000
31.39  298
33.86  301
34.21  244

Atomic structure:
abc: 8.1107 8.1107 9.1676
angles: 117.95 117.95 63.49
Positions (direct):
Li: 0.0967 0.9033 0.7500
Li: 0.9033 0.0967 0.2500
Co: 0.2023 0.2565 0.0435
Co: 0.2565 0.2023 0.5435
Co: 0.7435 0.7977 0.4565
Co: 0.7977 0.7435 0.9565
P: 0.0607 0.6710 0.3086
P: 0.3290 0.9393 0.1914
P: 0.4216 0.5784 0.2500
P: 0.5784 0.4216 0.7500
P: 0.6710 0.0607 0.8086
P: 0.9393 0.3290 0.6914
O: 0.0209 0.7419 0.4794
O: 0.0462 0.4656 0.1923
O: 0.0685 0.1794 0.7889
O: 0.1794 0.0685 0.2889
O: 0.2581 0.9791 0.0206
O: 0.2855 0.6721 0.3699
O: 0.3279 0.7145 0.1301
O: 0.3768 0.4077 0.6283
O: 0.4077 0.3769 0.1283
O: 0.4656 0.0462 0.6923
O: 0.5344 0.9538 0.3077
O: 0.5923 0.6231 0.8717
O: 0.6231 0.5923 0.3717
O: 0.6721 0.2855 0.8699
O: 0.7145 0.3279 0.6301
O: 0.7419 0.0209 0.9794
O: 0.8206 0.9315 0.7111
O: 0.9315 0.8206 0.2111
O: 0.9538 0.5344 0.8077
O: 0.9791 0.2581 0.5206

***

Diffraction record for LiCoP2O7. The XRD peak list is computed, not measured: it uses a crystal structure in the Materials Project, relaxed with PBE+U and copper Kα.
Kinematic intensities with the Lorentz-polarization factor, no thermal factor.

The 10 most intense peaks (2θ = 5–70°), in order of rising 2θ:
2θ/deg  Rel. int.
12.97  152
17.30  236
18.68  1000
23.42  230
26.12  220
26.58  248
28.81  178
34.63  203
35.37  141
40.83  150

Atomic structure:
abc: 5.0760 7.9186 14.3565
angles: 90.00 110.45 90.00
Positions (direct):
Li: 0.0118 0.2277 0.2424
Li: 0.0118 0.2723 0.7424
Li: 0.9882 0.7277 0.2576
Li: 0.9882 0.7723 0.7576
Co: 0.4132 0.1526 0.6167
Co: 0.4132 0.3474 0.1167
Co: 0.5868 0.6526 0.8833
Co: 0.5868 0.8474 0.3833
P: 0.2207 0.7057 0.0237
P: 0.2207 0.7943 0.5237
P: 0.4289 0.5328 0.6792
P: 0.4289 0.9672 0.1792
P: 0.5711 0.0328 0.8208
P: 0.5711 0.4672 0.3208
P: 0.7793 0.2057 0.4763
P: 0.7793 0.2943 0.9763
O: 0.0881 0.1808 0.4895
O: 0.0881 0.3192 0.9895
O: 0.2532 0.0359 0.7797
O: 0.2532 0.4641 0.2797
O: 0.2703 0.7030 0.9236
O: 0.2703 0.7970 0.4236
O: 0.2930 0.1460 0.1634
O: 0.2930 0.3540 0.6634
O: 0.2980 0.6370 0.7424
O: 0.2980 0.8630 0.2424
O: 0.3149 0.6082 0.5668
O: 0.3149 0.8918 0.0668
O: 0.4157 0.5847 0.1021
O: 0.4157 0.9153 0.6021
O: 0.5843 0.0847 0.3979
O: 0.5843 0.4153 0.8979
O: 0.6851 0.1082 0.9332
O: 0.6851 0.3918 0.4332
O: 0.7020 0.1370 0.7576
O: 0.7020 0.3630 0.2576
O: 0.7070 0.6460 0.3366
O: 0.7070 0.8540 0.8366
O: 0.7297 0.2030 0.5764
O: 0.7297 0.2970 0.0764
O: 0.7468 0.5359 0.7203
O: 0.7468 0.9641 0.2203
O: 0.9119 0.6808 0.0105
O: 0.9119 0.8192 0.5105